Structure and computed powder XRD pattern of Li6Nb3Fe3O16 (a DFT-relaxed cell (GGA+U, Alexandria); Cu Kα (weighted mean of Kα1 and Kα2)).
Neutral-atom scattering factors, no anomalous dispersion.

Cell and atoms:
```
Li6Nb3Fe3O16
1.0
5.2446 -3.0678 0.0000
5.2446 3.0678 0.0000
-0.0742 0.0000 10.1568
Li Nb Fe O
6 3 3 16
direct
0.0000 0.0000 0.0000
0.0026 0.0026 0.6576
0.3166 0.3166 0.5409
0.3331 0.3331 0.0363
0.6577 0.6577 0.1457
0.6692 0.6692 0.5015
0.1616 0.6683 0.3245
0.5138 0.5138 0.8108
0.6683 0.1616 0.3245
0.0067 0.5067 0.8276
0.1630 0.1630 0.3205
0.5067 0.0067 0.8276
0.0242 0.4817 0.4283
0.1739 0.6371 0.9291
0.1861 0.1861 0.9204
0.3021 0.8357 0.2192
0.3343 0.3343 0.2177
0.3445 0.3445 0.7187
0.3634 0.8354 0.7201
0.4817 0.0242 0.4283
0.4822 0.4822 0.4358
0.6371 0.1739 0.9291
0.6519 0.6519 0.9439
0.8203 0.8203 0.7353
0.8354 0.3634 0.7201
0.8357 0.3021 0.2192
0.8379 0.8379 0.2217
0.9896 0.9896 0.4389
```

Main lines, in order of falling intensity (5 to 70 degrees two-theta):
2θ = 17.46°, d 5.078, intensity 100
2θ = 35.02°, d 2.562, intensity 27
2θ = 18.90°, d 4.696, intensity 26
2θ = 43.48°, d 2.081, intensity 21
2θ = 35.30°, d 2.542, intensity 12
2θ = 43.30°, d 2.090, intensity 12
2θ = 61.00°, d 1.519, intensity 11
2θ = 38.39°, d 2.344, intensity 10